No. 1
Starting from a crystal structure in the Materials Project, relaxed with PBE+U, the X-ray diffraction stick pattern of AlTlFe2F2 was computed for Cu Kα (weighted mean of Kα1 and Kα2).
Neutral-atom scattering factors, no anomalous dispersion.

```
6
Lattice="4.935 0.000 0.000 0.000 4.935 0.000 0.000 0.000 6.237" Properties=species:S:1:pos:R:3 pbc="T T T"
Al 0.000 0.000 0.000
Tl 2.467 2.467 3.118
Fe 0.000 2.467 0.000
Fe 2.467 0.000 0.000
F 0.000 0.000 1.780
F 0.000 0.000 4.456
```

The 10 most intense peaks (2θ = 10–80°), low angle first:
- 17.98°, rel. 29
- 22.98°, rel. 96
- 28.63°, rel. 28
- 29.33°, rel. 100
- 34.01°, rel. 33
- 36.41°, rel. 46
- 43.50°, rel. 37
- 46.96°, rel. 29
- 50.68°, rel. 21
- 61.24°, rel. 41

---

No. 2
Starting from a crystal structure in the Materials Project, relaxed with PBE+U, the X-ray diffraction stick pattern of MgFeO2 was computed for Cu Kα (weighted mean of Kα1 and Kα2).
Neutral-atom scattering factors, no anomalous dispersion.

```
16
Lattice="2.962 0.000 0.000 1.466 8.018 0.000 1.476 0.679 8.083" Properties=species:S:1:pos:R:3 pbc="T T T"
Mg 0.000 0.000 0.000
Mg 1.456 4.839 1.369
Mg 2.964 7.011 5.722
Mg 2.955 3.831 7.091
Fe 2.973 7.498 2.724
Fe 2.955 1.456 5.379
Fe 2.972 2.376 1.713
Fe 4.416 4.357 4.365
O 1.463 1.209 0.906
O 2.951 5.097 5.516
O 2.914 3.987 2.925
O 4.436 7.918 6.815
O 2.947 3.931 0.274
O 4.477 7.863 4.165
O 4.435 6.753 1.574
O 4.453 2.620 6.192
```

The 10 most intense peaks (2θ = 10–80°), low angle first:
- 21.99°, rel. 35
- 32.81°, rel. 100
- 34.56°, rel. 43
- 34.84°, rel. 32
- 34.90°, rel. 34
- 35.25°, rel. 42
- 37.94°, rel. 53
- 42.06°, rel. 40
- 49.18°, rel. 60
- 60.11°, rel. 32

---

No. 3
Starting from a crystal structure in the Materials Project, relaxed with PBE+U, the X-ray diffraction stick pattern of MnV2O8 was computed for Cu Kα (weighted mean of Kα1 and Kα2).
Neutral-atom scattering factors, no anomalous dispersion.

```
44
Lattice="5.606 0.000 0.000 0.000 10.683 0.000 0.000 0.000 11.909" Properties=species:S:1:pos:R:3 pbc="T T T"
Mn 0.125 2.671 0.466
Mn 2.677 8.013 6.421
Mn 2.928 2.671 5.489
Mn 5.480 8.013 11.443
V 1.084 5.650 2.019
V 1.084 10.375 2.019
V 1.718 0.308 7.973
V 1.718 5.033 7.973
V 3.887 5.650 3.936
V 3.887 10.375 3.936
V 4.521 0.308 9.891
V 4.521 5.033 9.891
O 0.036 0.666 8.545
O 0.036 4.675 8.545
O 0.690 6.625 0.708
O 0.690 9.400 0.708
O 0.901 1.334 1.620
O 0.901 4.008 1.620
O 1.302 8.013 5.428
O 1.329 8.013 10.547
O 1.473 2.671 4.593
O 1.501 2.671 11.383
O 1.902 6.675 7.574
O 1.902 9.350 7.574
O 2.113 1.284 6.662
O 2.113 4.058 6.662
O 2.767 6.008 2.590
O 2.767 10.017 2.590
O 2.839 0.666 9.319
O 2.839 4.675 9.319
O 3.493 6.625 5.247
O 3.493 9.400 5.247
O 3.704 1.334 4.335
O 3.704 4.008 4.335
O 4.105 8.013 0.527
O 4.132 8.013 7.317
O 4.276 2.671 1.362
O 4.303 2.671 6.481
O 4.705 6.675 10.290
O 4.705 9.350 10.290
O 4.916 1.284 11.202
O 4.916 4.058 11.202
O 5.570 6.008 3.365
O 5.570 10.017 3.365
```

The 10 most intense peaks (2θ = 10–80°), low angle first:
- 17.49°, rel. 94
- 21.77°, rel. 61
- 22.36°, rel. 100
- 24.20°, rel. 14
- 26.12°, rel. 28
- 27.50°, rel. 61
- 32.83°, rel. 16
- 38.13°, rel. 13
- 51.22°, rel. 15
- 54.25°, rel. 14

---

No. 4
Starting from a crystal structure in the Materials Project, relaxed with PBE+U, the X-ray diffraction stick pattern of Li9Co7O16 was computed for Cu Kα (weighted mean of Kα1 and Kα2).
Neutral-atom scattering factors, no anomalous dispersion.

```
32
Lattice="5.028 0.000 0.000 0.000 5.719 0.000 -1.598 0.000 9.626" Properties=species:S:1:pos:R:3 pbc="T T T"
Li 0.000 0.000 0.000
Li 0.030 0.000 7.256
Li 0.042 2.860 7.236
Li 0.854 1.413 2.376
Li 0.854 4.306 2.376
Li 2.576 1.413 7.250
Li 2.576 4.306 7.250
Li 3.387 2.860 2.390
Li 3.400 0.000 2.370
Co -0.799 1.433 4.813
Co 0.000 2.860 0.000
Co -0.799 4.287 4.813
Co 1.715 0.000 4.813
Co 2.514 1.412 0.000
Co 1.715 2.860 4.813
Co 2.514 4.307 0.000
O 0.025 0.000 3.644
O 0.028 2.860 3.660
O -0.703 1.549 8.615
O -0.703 4.170 8.615
O 1.662 2.860 1.008
O 0.892 1.429 5.965
O 0.892 4.290 5.965
O 1.845 0.000 1.038
O 1.585 0.000 8.588
O 2.538 1.429 3.661
O 2.538 4.290 3.661
O 1.768 2.860 8.618
O 4.133 1.549 1.011
O 4.133 4.170 1.011
O 3.402 2.860 5.967
O 3.405 0.000 5.982
```

The 10 most intense peaks (2θ = 10–80°), low angle first:
- 18.43°, rel. 100
- 36.22°, rel. 14
- 36.71°, rel. 26
- 38.25°, rel. 8
- 43.71°, rel. 27
- 44.33°, rel. 52
- 48.20°, rel. 13
- 58.24°, rel. 9
- 63.59°, rel. 14
- 64.44°, rel. 14

---

No. 5
Starting from a crystal structure in the Materials Project, relaxed with PBE+U, the X-ray diffraction stick pattern of Li9Mn2Co5O16 was computed for Cu Kα (weighted mean of Kα1 and Kα2).
Neutral-atom scattering factors, no anomalous dispersion.

```
32
Lattice="5.888 0.000 0.000 2.912 5.129 0.000 0.059 3.232 9.534" Properties=species:S:1:pos:R:3 pbc="T T T"
Li 0.000 0.000 0.000
Li 5.921 1.600 4.694
Li 1.438 0.825 2.251
Li 4.430 7.495 7.164
Li 2.963 3.236 9.512
Li 2.963 1.624 4.703
Li 4.404 0.831 2.300
Li 7.365 7.478 7.197
Li 7.375 5.759 9.470
Mn 2.952 4.958 7.146
Mn 4.423 4.195 4.727
Co 2.924 3.322 2.250
Co 4.479 5.796 9.505
Co 5.912 3.385 2.247
Co 5.937 4.949 7.160
Co 7.352 4.135 4.677
O 1.470 2.590 3.585
O 1.631 4.099 8.186
O 3.021 6.499 8.254
O 3.016 4.914 3.590
O 4.305 5.731 5.900
O 2.955 1.793 1.234
O 3.030 3.417 5.866
O 4.395 4.199 1.138
O 4.421 4.192 8.182
O 4.485 2.652 3.570
O 5.824 4.999 3.668
O 5.865 6.471 8.204
O 5.824 3.470 5.891
O 5.761 1.749 1.126
O 7.277 4.215 1.274
O 7.406 5.678 6.013
```

The 10 most intense peaks (2θ = 10–80°), low angle first:
- 18.26°, rel. 100
- 35.71°, rel. 15
- 35.99°, rel. 15
- 36.26°, rel. 12
- 37.52°, rel. 8
- 43.11°, rel. 28
- 43.59°, rel. 27
- 43.86°, rel. 26
- 47.62°, rel. 9
- 62.73°, rel. 15

---

No. 6
Starting from a crystal structure in the Materials Project, relaxed with PBE+U, the X-ray diffraction stick pattern of Li3V5O12 was computed for Cu Kα (weighted mean of Kα1 and Kα2).
Neutral-atom scattering factors, no anomalous dispersion.

```
20
Lattice="5.039 0.000 0.000 -0.053 5.361 0.000 -0.061 -0.715 7.370" Properties=species:S:1:pos:R:3 pbc="T T T"
Li 0.000 0.000 0.000
Li 0.003 -0.357 3.685
Li 2.497 2.329 3.707
V 0.024 2.112 2.200
V 2.417 4.422 5.675
V 2.508 2.798 0.007
V 2.491 4.837 2.096
V 4.935 1.677 5.800
O 0.675 2.057 0.327
O 0.923 3.505 2.719
O 0.943 -0.122 5.460
O 1.552 0.798 2.693
O 1.594 2.631 5.570
O 1.830 4.710 0.455
O 3.081 4.396 4.067
O 3.358 2.926 1.769
O 3.380 0.483 6.452
O 3.897 3.167 6.472
O 4.072 0.272 1.821
O 4.419 1.698 4.100
```

The 10 most intense peaks (2θ = 10–80°), low angle first:
- 24.16°, rel. 100
- 24.43°, rel. 50
- 33.33°, rel. 66
- 33.59°, rel. 31
- 35.48°, rel. 19
- 40.96°, rel. 20
- 41.04°, rel. 28
- 49.48°, rel. 34
- 54.33°, rel. 24
- 54.54°, rel. 25

---

No. 7
Starting from a crystal structure in the Materials Project, relaxed with PBE+U, the X-ray diffraction stick pattern of Li5Mn2P2C2O14 was computed for Cu Kα (weighted mean of Kα1 and Kα2).
Neutral-atom scattering factors, no anomalous dispersion.

```
50
Lattice="6.483 0.000 0.000 -0.055 8.526 0.000 -0.008 -0.699 10.056" Properties=species:S:1:pos:R:3 pbc="T T T"
Li 0.000 0.000 0.000
Li 6.477 -0.340 4.915
Li 1.397 6.530 7.466
Li 2.869 -0.319 4.908
Li 2.823 8.515 0.004
Li 3.150 3.855 2.502
Li 4.588 5.063 5.110
Li 4.613 5.428 0.027
Li 5.989 3.414 7.502
Li 6.171 3.854 2.485
Mn 1.434 3.417 0.125
Mn 1.436 3.093 5.283
Mn 4.653 0.134 7.307
Mn 4.684 0.483 2.274
P 1.384 0.734 7.615
P 1.436 1.132 2.592
P 4.671 2.409 4.800
P 4.690 2.039 9.882
C 1.359 5.255 9.842
C 1.372 5.637 4.820
C 4.639 6.404 2.686
C 4.675 6.062 7.748
O 0.212 0.375 2.021
O 0.213 -0.170 7.114
O 1.269 2.171 7.079
O 1.276 4.340 8.895
O 1.340 5.239 6.054
O 1.367 6.506 9.463
O 1.414 0.783 9.172
O 1.420 1.140 4.151
O 1.396 4.665 3.914
O 1.388 6.860 4.484
O 1.450 2.619 2.104
O 1.454 5.569 0.992
O 2.616 -0.047 7.069
O 2.671 0.375 2.044
O 3.446 3.252 5.224
O 3.479 3.575 0.320
O 4.559 7.024 8.652
O 4.661 1.274 0.340
O 4.615 6.408 6.498
O 4.662 0.952 5.325
O 4.645 5.167 3.070
O 4.637 6.752 1.447
O 4.634 7.353 3.601
O 4.753 2.373 3.245
O 4.812 1.974 8.348
O 4.851 4.863 8.142
O 5.855 3.251 5.373
O 5.876 3.568 0.425
```

The 10 most intense peaks (2θ = 10–80°), low angle first:
- 10.40°, rel. 93
- 19.88°, rel. 37
- 21.14°, rel. 53
- 22.38°, rel. 17
- 25.31°, rel. 15
- 26.50°, rel. 35
- 27.52°, rel. 100
- 31.56°, rel. 21
- 35.71°, rel. 17
- 36.56°, rel. 26

---

No. 8
Starting from a crystal structure in the Materials Project, relaxed with PBE+U, the X-ray diffraction stick pattern of Li2Mn4O5F3 was computed for Cu Kα (weighted mean of Kα1 and Kα2).
Neutral-atom scattering factors, no anomalous dispersion.

```
28
Lattice="5.441 -2.923 0.000 5.441 2.923 0.000 -3.686 0.000 10.371" Properties=species:S:1:pos:R:3 pbc="T T T"
Li 4.096 1.461 1.162
Li 3.598 1.587 5.185
Li 2.253 -1.461 6.347
Li 5.441 -1.587 0.000
Mn -0.831 0.014 8.487
Mn 1.994 1.500 8.438
Mn 1.012 -0.014 3.301
Mn 7.402 1.504 0.607
Mn 4.691 0.009 8.414
Mn 6.534 -0.009 3.229
Mn 3.837 -1.500 3.253
Mn 5.559 -1.504 5.792
O -0.847 0.176 4.447
O 1.723 1.462 4.371
O 0.233 1.473 9.350
O -2.690 -0.176 9.633
O 3.711 1.451 7.468
O 5.929 1.466 2.091
O -0.120 -1.462 9.556
O 2.076 -1.473 4.164
O 5.554 -1.451 2.282
O 4.086 -1.466 7.276
F 1.281 0.082 7.153
F 3.124 -0.082 1.968
F 4.673 0.120 4.566
F 2.830 -0.120 9.751
F 6.558 0.029 6.989
F 8.401 -0.029 1.804
```

The 10 most intense peaks (2θ = 10–80°), low angle first:
- 17.10°, rel. 63
- 17.30°, rel. 48
- 18.13°, rel. 100
- 33.09°, rel. 17
- 33.72°, rel. 35
- 33.91°, rel. 23
- 40.35°, rel. 49
- 42.14°, rel. 86
- 59.50°, rel. 27
- 60.03°, rel. 26